1.
Simulated X-ray powder pattern
Compound: KScRe4
Radiation: CuKα
Structure: the PBE geometry in Alexandria
Lines closer than 0.1° are merged.

Crystal structure
a = 7.620 Å, b = 7.620 Å, c = 7.620 Å
α = 90.00°, β = 90.00°, γ = 90.00°
Space group F-43m (No. 216)
One atom of each set of equivalent atoms:
K 0.000 0.000 0.000 x4
Sc 0.250 0.250 0.250 x4
Re 0.125 0.125 0.625 x16

Principal peaks in the range 10 to 90 degrees two-theta, by angle:
- 4.399 Å, 20.18 deg, I 90, (1 1 1)
- 2.694 Å, 33.26 deg, I 3, (2 2 0)
- 2.298 Å, 39.21 deg, I 100, (3 1 1)
- 2.200 Å, 41.03 deg, I 87, (2 2 2)
- 1.905 Å, 47.74 deg, I 34, (4 0 0)
- 1.748 Å, 52.33 deg, I 23, (3 3 1)
- 1.466 Å, 63.43 deg, I 32, (5 1 1)
- 1.347 Å, 69.82 deg, I 34, (4 4 0)
- 1.288 Å, 73.53 deg, I 18, (5 3 1)
- 1.162 Å, 83.12 deg, I 11, (5 3 3)
- 1.149 Å, 84.30 deg, I 34, (6 2 2)
- 1.100 Å, 89.00 deg, I 8, (4 4 4)



2.
Simulated X-ray powder pattern
Compound: KSc2Re
Radiation: CuKα
Structure: the PBE geometry in Alexandria
Lines closer than 0.1° are merged.

Crystal structure
a = 3.326 Å, b = 3.325 Å, c = 10.008 Å
α = 90.00°, β = 90.40°, γ = 90.00°
Space group P2/m (No. 10)
One atom of each set of equivalent atoms:
K 0.000 0.000 0.000 x1
Sc 0.497 0.500 0.350 x2
Re 0.000 0.000 0.500 x1

Principal peaks in the range 10 to 90 degrees two-theta, by angle:
- 5.004 Å, 17.73 deg, I 88, (0 0 2)
- 3.326 Å, 26.80 deg, I 33, (1 0 0)
- 2.779 Å, 32.22 deg, I 34, (1 0 -2)
- 2.769 Å, 32.33 deg, I 67, (0 1 2)
- 2.761 Å, 32.43 deg, I 34, (1 0 2)
- 2.353 Å, 38.26 deg, I 100, (1 1 0)
- 2.289 Å, 39.36 deg, I 47, (1 1 -1)
- 2.132 Å, 42.39 deg, I 20, (1 1 -2)
- 2.124 Å, 42.56 deg, I 19, (1 1 2)
- 2.006 Å, 45.20 deg, I 18, (1 0 -4)
- 1.999 Å, 45.36 deg, I 40, (0 1 4)
- 1.663 Å, 55.25 deg, I 22, (2 0 0)



3.
Simulated X-ray powder pattern
Compound: K2Re3Se6
Radiation: CuKα
Structure: the PBE geometry in Alexandria
Lines closer than 0.1° are merged.

Crystal structure
a = 17.469 Å, b = 10.229 Å, c = 12.504 Å
α = 90.00°, β = 91.65°, γ = 90.00°
Space group C2/c (No. 15)
One atom of each set of equivalent atoms:
K 0.000 0.104 0.250 x4
K 0.000 0.284 0.750 x4
K 0.114 0.262 0.016 x8
Re 0.159 0.344 0.475 x8
Re 0.209 0.109 0.418 x8
Re 0.209 0.178 0.625 x8
Se 0.032 0.464 0.419 x8
Se 0.084 0.135 0.518 x8
Se 0.148 0.086 0.803 x8
Se 0.163 0.408 0.671 x8
Se 0.164 0.277 0.279 x8
Se 0.243 0.457 0.932 x8

Principal peaks in the range 10 to 90 degrees two-theta, by angle:
- 8.731 Å, 10.13 deg, I 100, (2 0 0)
- 7.260 Å, 12.19 deg, I 89, (1 1 -1)
- 7.161 Å, 12.36 deg, I 95, (1 1 1)
- 6.250 Å, 14.17 deg, I 19, (0 0 2)
- 2.958 Å, 30.21 deg, I 10, (4 2 -2)
- 2.507 Å, 35.82 deg, I 11, (4 0 4)
- 2.219 Å, 40.65 deg, I 10, (3 1 5)
- 2.107 Å, 42.92 deg, I 10, (2 4 3)
- 2.018 Å, 44.91 deg, I 20, (4 2 -5)
- 1.990 Å, 45.58 deg, I 11, (8 2 -1)
- 1.974 Å, 45.98 deg, I 11, (8 2 1)
- 1.942 Å, 46.77 deg, I 11, (5 3 -4)



4.
Simulated X-ray powder pattern
Compound: KRe4Se7
Radiation: CuKα
Structure: the PBE geometry in Alexandria
Lines closer than 0.1° are merged.

Crystal structure
a = 4.692 Å, b = 14.831 Å, c = 8.060 Å
α = 90.00°, β = 90.00°, γ = 90.00°
Space group Pmmn (No. 59, origin choice 2)
One atom of each set of equivalent atoms:
K 0.250 0.250 0.219 x2
Re 0.250 0.010 0.774 x4
Re 0.250 0.606 0.250 x4
Se 0.250 0.038 0.100 x4
Se 0.250 0.147 0.627 x4
Se 0.250 0.609 0.576 x4
Se 0.250 0.750 0.095 x2

Principal peaks in the range 10 to 90 degrees two-theta, by angle:
- 7.416 Å, 11.93 deg, I 100, (0 2 0)
- 7.082 Å, 12.50 deg, I 65, (0 1 1)
- 4.214 Å, 21.08 deg, I 26, (0 3 1)
- 4.030 Å, 22.06 deg, I 41, (0 0 2)
- 3.558 Å, 25.03 deg, I 23, (1 2 1)
- 3.368 Å, 26.46 deg, I 29, (0 4 1)
- 2.736 Å, 32.73 deg, I 25, (1 4 1)
- 2.360 Å, 38.13 deg, I 34, (0 3 3)
- 2.346 Å, 38.37 deg, I 51, (2 0 0)
- 2.111 Å, 42.85 deg, I 41, (1 6 1)
- 1.974 Å, 45.98 deg, I 71, (1 4 3)
- 1.931 Å, 47.06 deg, I 27, (1 7 0)



5.
Simulated X-ray powder pattern
Compound: KSrRe
Radiation: CuKα
Structure: the PBE geometry in Alexandria
Lines closer than 0.1° are merged.

Crystal structure
a = 2.877 Å, b = 4.992 Å, c = 12.158 Å
α = 90.00°, β = 90.00°, γ = 90.00°
Space group Imm2 (No. 44)
One atom of each set of equivalent atoms:
K 0.000 0.000 0.000 x2
Sr 0.000 0.000 0.286 x2
Re 0.000 0.000 0.680 x2

Principal peaks in the range 10 to 90 degrees two-theta, by angle:
- 6.079 Å, 14.57 deg, I 100, (0 0 2)
- 4.618 Å, 19.22 deg, I 29, (0 1 1)
- 3.146 Å, 28.37 deg, I 95, (0 1 3)
- 2.494 Å, 36.02 deg, I 97, (1 1 0)
- 2.346 Å, 38.37 deg, I 42, (1 0 3)
- 2.307 Å, 39.04 deg, I 56, (1 1 2)
- 2.186 Å, 41.30 deg, I 26, (0 1 5)
- 1.928 Å, 47.14 deg, I 14, (1 1 4)
- 1.857 Å, 49.06 deg, I 16, (1 0 5)
- 1.709 Å, 53.62 deg, I 32, (1 2 3)
- 1.573 Å, 58.71 deg, I 16, (1 1 6)
- 1.490 Å, 62.32 deg, I 16, (1 2 5)



6.
Simulated X-ray powder pattern
Compound: KTlRe
Radiation: CuKα
Structure: the PBE geometry in Alexandria
Lines closer than 0.1° are merged.

Crystal structure
a = 2.903 Å, b = 2.903 Å, c = 16.298 Å
α = 90.00°, β = 90.00°, γ = 90.00°
Space group I4mm (No. 107)
One atom of each set of equivalent atoms:
K 0.000 0.000 0.000 x2
Tl 0.000 0.000 0.315 x2
Re 0.000 0.000 0.672 x2

Principal peaks in the range 10 to 90 degrees two-theta, by angle:
- 8.149 Å, 10.86 deg, I 85, (0 0 2)
- 2.858 Å, 31.30 deg, I 12, (1 0 1)
- 2.716 Å, 32.98 deg, I 25, (0 0 6)
- 2.560 Å, 35.05 deg, I 100, (1 0 3)
- 2.168 Å, 41.66 deg, I 25, (1 0 5)
- 2.053 Å, 44.12 deg, I 28, (1 1 0)
- 1.990 Å, 45.57 deg, I 11, (1 1 2)
- 1.638 Å, 56.17 deg, I 22, (1 1 6)
- 1.536 Å, 60.23 deg, I 14, (1 0 9)
- 1.446 Å, 64.44 deg, I 10, (1 1 8)
- 1.280 Å, 74.06 deg, I 10, (2 0 6)
- 1.263 Å, 75.26 deg, I 22, (2 1 3)



7.
Simulated X-ray powder pattern
Compound: KZnRe
Radiation: CuKα
Structure: the PBE geometry in Alexandria
Lines closer than 0.1° are merged.

Crystal structure
a = 2.701 Å, b = 2.701 Å, c = 15.921 Å
α = 90.00°, β = 90.00°, γ = 90.00°
Space group I4mm (No. 107)
One atom of each set of equivalent atoms:
K 0.000 0.000 0.000 x2
Zn 0.000 0.000 0.688 x2
Re 0.000 0.000 0.318 x2

Principal peaks in the range 10 to 90 degrees two-theta, by angle:
- 7.960 Å, 11.12 deg, I 100, (0 0 2)
- 3.980 Å, 22.34 deg, I 11, (0 0 4)
- 2.663 Å, 33.65 deg, I 18, (1 0 1)
- 2.653 Å, 33.78 deg, I 19, (0 0 6)
- 2.408 Å, 37.35 deg, I 76, (1 0 3)
- 2.060 Å, 43.95 deg, I 23, (1 0 5)
- 1.910 Å, 47.60 deg, I 21, (1 1 0)
- 1.858 Å, 49.04 deg, I 11, (1 1 2)
- 1.740 Å, 52.60 deg, I 8, (1 0 7)
- 1.550 Å, 59.64 deg, I 15, (1 1 6)
- 1.204 Å, 79.62 deg, I 10, (2 0 6)
- 1.178 Å, 81.75 deg, I 15, (2 1 3)



8.
Simulated X-ray powder pattern
Compound: KZnRe
Radiation: CuKα
Structure: the PBE geometry in Alexandria
Lines closer than 0.1° are merged.

Crystal structure
a = 2.615 Å, b = 4.399 Å, c = 12.180 Å
α = 90.00°, β = 90.00°, γ = 90.00°
Space group Imm2 (No. 44)
One atom of each set of equivalent atoms:
K 0.000 0.000 0.000 x2
Zn 0.000 0.000 0.274 x2
Re 0.000 0.000 0.722 x2

Principal peaks in the range 10 to 90 degrees two-theta, by angle:
- 6.090 Å, 14.54 deg, I 100, (0 0 2)
- 4.138 Å, 21.48 deg, I 24, (0 1 1)
- 3.045 Å, 29.33 deg, I 30, (0 0 4)
- 2.984 Å, 29.95 deg, I 33, (0 1 3)
- 2.248 Å, 40.11 deg, I 36, (1 1 0)
- 2.199 Å, 41.04 deg, I 30, (0 2 0)
- 2.131 Å, 42.41 deg, I 10, (0 1 5)
- 2.109 Å, 42.88 deg, I 29, (1 1 2)
- 2.069 Å, 43.75 deg, I 14, (0 2 2)
- 1.809 Å, 50.46 deg, I 26, (1 1 4)
- 1.783 Å, 51.24 deg, I 18, (0 2 4)
- 1.618 Å, 56.91 deg, I 11, (0 1 7)



9.
Simulated X-ray powder pattern
Compound: KRh2
Radiation: CuKα
Structure: the PBE geometry in Alexandria
Lines closer than 0.1° are merged.

Crystal structure
a = 2.790 Å, b = 3.997 Å, c = 11.747 Å
α = 90.00°, β = 90.00°, γ = 90.00°
Space group Immm (No. 71)
One atom of each set of equivalent atoms:
K 0.000 0.000 0.000 x2
Rh 0.000 0.000 0.282 x4

Principal peaks in the range 10 to 90 degrees two-theta, by angle:
- 5.873 Å, 15.08 deg, I 100, (0 0 2)
- 2.937 Å, 30.44 deg, I 27, (0 0 4)
- 2.797 Å, 32.00 deg, I 36, (0 1 3)
- 2.288 Å, 39.39 deg, I 49, (1 1 0)
- 2.272 Å, 39.67 deg, I 20, (1 0 3)
- 2.132 Å, 42.40 deg, I 30, (1 1 2)
- 2.025 Å, 44.75 deg, I 11, (0 1 5)
- 1.998 Å, 45.39 deg, I 16, (0 2 0)
- 1.892 Å, 48.10 deg, I 10, (0 2 2)
- 1.805 Å, 50.58 deg, I 25, (1 1 4)
- 1.547 Å, 59.77 deg, I 14, (0 1 7)
- 1.438 Å, 64.84 deg, I 10, (1 0 7)



10.
Simulated X-ray powder pattern
Compound: KRh3
Radiation: CuKα
Structure: the PBE geometry in Alexandria
Lines closer than 0.1° are merged.

Crystal structure
a = 8.872 Å, b = 2.761 Å, c = 6.561 Å
α = 90.00°, β = 95.83°, γ = 90.00°
Space group C2/m (No. 12)
One atom of each set of equivalent atoms:
K 0.000 0.000 0.000 x2
Rh 0.000 0.500 0.500 x2
Rh 0.234 0.000 0.662 x4

Principal peaks in the range 10 to 90 degrees two-theta, by angle:
- 6.527 Å, 13.57 deg, I 100, (0 0 1)
- 2.761 Å, 32.42 deg, I 30, (2 0 -2)
- 2.505 Å, 35.84 deg, I 12, (2 0 2)
- 2.418 Å, 37.18 deg, I 54, (1 1 1)
- 2.206 Å, 40.90 deg, I 24, (4 0 0)
- 2.035 Å, 44.52 deg, I 12, (2 0 -3)
- 2.029 Å, 44.67 deg, I 9, (4 0 1)
- 2.020 Å, 44.86 deg, I 22, (1 1 2)
- 1.963 Å, 46.26 deg, I 35, (3 1 -1)
- 1.877 Å, 48.49 deg, I 9, (2 0 3)
- 1.769 Å, 51.66 deg, I 10, (3 1 -2)
- 1.148 Å, 84.41 deg, I 8, (7 1 -1)



11.
Simulated X-ray powder pattern
Compound: K4Th3RhS8
Radiation: CuKα
Structure: the PBE geometry in Alexandria
Lines closer than 0.1° are merged.

Crystal structure
a = 14.941 Å, b = 7.764 Å, c = 8.771 Å
α = 90.00°, β = 120.60°, γ = 90.00°
Space group C2/m (No. 12)
One atom of each set of equivalent atoms:
K 0.000 0.000 0.000 x2
K 0.000 0.500 0.000 x2
K 0.250 0.250 0.000 x4
Th 0.000 0.000 0.500 x2
Th 0.250 0.250 0.500 x4
Rh 0.000 0.500 0.500 x2
S 0.027 0.279 0.325 x8
S 0.221 0.000 0.707 x4
S 0.222 0.000 0.255 x4

Principal peaks in the range 10 to 90 degrees two-theta, by angle:
- 7.550 Å, 11.72 deg, I 100, (0 0 1)
- 3.775 Å, 23.57 deg, I 23, (0 0 2)
- 3.719 Å, 23.93 deg, I 17, (4 0 -1)
- 3.470 Å, 25.67 deg, I 17, (4 0 -2)
- 3.388 Å, 26.30 deg, I 22, (2 2 -1)
- 3.323 Å, 26.83 deg, I 30, (2 2 0)
- 3.215 Å, 27.75 deg, I 39, (4 0 0)
- 2.902 Å, 30.82 deg, I 63, (2 2 -2)
- 2.322 Å, 38.79 deg, I 15, (2 2 -3)
- 2.221 Å, 40.61 deg, I 25, (2 2 2)
- 2.093 Å, 43.24 deg, I 23, (6 2 -2)
- 1.878 Å, 48.48 deg, I 15, (6 2 0)



12.
Simulated X-ray powder pattern
Compound: KRh2WS
Radiation: CuKα
Structure: the PBE geometry in Alexandria
Lines closer than 0.1° are merged.

Crystal structure
a = 4.465 Å, b = 4.465 Å, c = 5.248 Å
α = 90.00°, β = 90.00°, γ = 90.00°
Space group P4/mmm (No. 123)
One atom of each set of equivalent atoms:
K 0.000 0.000 0.000 x1
Rh 0.000 0.500 0.500 x2
W 0.500 0.500 0.000 x1
S 0.000 0.000 0.500 x1

Principal peaks in the range 10 to 90 degrees two-theta, by angle:
- 4.465 Å, 19.88 deg, I 11, (1 0 0)
- 3.401 Å, 26.20 deg, I 34, (1 0 1)
- 2.705 Å, 33.11 deg, I 100, (1 1 1)
- 2.624 Å, 34.17 deg, I 31, (0 0 2)
- 2.233 Å, 40.40 deg, I 39, (2 0 0)
- 1.866 Å, 48.79 deg, I 13, (2 1 1)
- 1.700 Å, 53.92 deg, I 33, (2 0 2)
- 1.579 Å, 58.46 deg, I 13, (2 2 0)
- 1.530 Å, 60.51 deg, I 17, (1 1 3)
- 1.364 Å, 68.86 deg, I 23, (3 1 1)
- 1.353 Å, 69.49 deg, I 15, (2 2 2)
- 1.099 Å, 89.12 deg, I 12, (3 1 3)



13.
Simulated X-ray powder pattern
Compound: KSb4Rh
Radiation: CuKα
Structure: the PBE geometry in Alexandria
Lines closer than 0.1° are merged.

Crystal structure
a = 8.823 Å, b = 8.823 Å, c = 8.823 Å
α = 90.00°, β = 90.00°, γ = 90.00°
Space group F-43m (No. 216)
One atom of each set of equivalent atoms:
K 0.000 0.000 0.000 x4
Sb 0.124 0.124 0.376 x16
Rh 0.250 0.250 0.750 x4

Principal peaks in the range 10 to 90 degrees two-theta, by angle:
- 5.094 Å, 17.41 deg, I 30, (1 1 1)
- 3.120 Å, 28.62 deg, I 14, (2 2 0)
- 2.660 Å, 33.69 deg, I 100, (3 1 1)
- 2.547 Å, 35.24 deg, I 58, (2 2 2)
- 2.206 Å, 40.91 deg, I 14, (4 0 0)
- 2.024 Å, 44.77 deg, I 8, (3 3 1)
- 1.698 Å, 54.00 deg, I 34, (3 3 3)
- 1.560 Å, 59.24 deg, I 31, (4 4 0)
- 1.491 Å, 62.25 deg, I 6, (5 3 1)
- 1.346 Å, 69.91 deg, I 11, (5 3 3)
- 1.330 Å, 70.84 deg, I 22, (6 2 2)
- 1.149 Å, 84.31 deg, I 21, (7 3 1)



14.
Simulated X-ray powder pattern
Compound: K2RhSe
Radiation: CuKα
Structure: the PBE geometry in Alexandria
Lines closer than 0.1° are merged.

Crystal structure
a = 4.285 Å, b = 5.610 Å, c = 9.979 Å
α = 90.00°, β = 90.00°, γ = 90.00°
Space group Imm2 (No. 44)
One atom of each set of equivalent atoms:
K 0.000 0.000 0.000 x2
K 0.000 0.500 0.192 x2
Rh 0.000 0.500 0.807 x2
Se 0.000 0.000 0.404 x2

Principal peaks in the range 10 to 90 degrees two-theta, by angle:
- 4.989 Å, 17.78 deg, I 32, (0 0 2)
- 4.890 Å, 18.14 deg, I 67, (0 1 1)
- 2.861 Å, 31.26 deg, I 40, (0 1 3)
- 2.810 Å, 31.85 deg, I 100, (0 2 0)
- 2.628 Å, 34.12 deg, I 14, (1 0 3)
- 2.143 Å, 42.17 deg, I 16, (2 0 0)
- 2.012 Å, 45.05 deg, I 11, (1 1 4)
- 1.963 Å, 46.26 deg, I 12, (2 1 1)
- 1.809 Å, 50.44 deg, I 18, (1 0 5)
- 1.715 Å, 53.42 deg, I 16, (2 1 3)
- 1.703 Å, 53.84 deg, I 15, (2 2 0)
- 1.520 Å, 60.94 deg, I 19, (1 2 5)